# 1
Simulated powder X-ray diffraction pattern of K3TlAs for copper Kα, from a GGA-PBE-relaxed structure.
No peak broadening, texture or thermal motion is included.

Cell and atoms:
Cell: 11.5164 9.4929 7.9417 Å, 90.00 90.00 90.00°
Space group Ima2 (No. 46)
Unique sites:
1 K 0.0326 0.2242 0.0000 [8 per cell]
2 K 0.2500 0.0205 0.6899 [4 per cell]
3 Tl 0.2500 0.6510 0.7340 [4 per cell]
4 As 0.2500 0.1270 0.2646 [4 per cell]

Largest 8 diffraction maxima, sorted by position, 10° ≤ 2θ ≤ 90°:
Position (°2θ)  d_spacing  Rel. int.  hkl
14.54  6.091  50  0 1 1
15.39  5.758  76  2 0 0
21.23  4.184  44  2 1 1
27.28  3.269  100  2 0 2
30.41  2.940  43  0 3 1
31.06  2.879  34  4 0 0
34.25  2.618  60  2 3 1
44.02  2.057  31  4 3 1

# 2
Simulated powder X-ray diffraction pattern of TbCu2O4 for copper Kα, from a GGA-PBE-relaxed structure.
No peak broadening, texture or thermal motion is included.

Cell and atoms:
Cell: 6.2643 9.3014 11.6118 Å, 90.00 90.00 90.00°
Space group Fddd (No. 70, origin choice 2)
Unique sites:
1 Tb 0.1250 0.1250 0.1250 [8 per cell]
2 Cu 0.0000 0.0000 0.5000 [16 per cell]
3 O 0.0474 0.2996 0.9898 [32 per cell]

Largest 8 diffraction maxima, sorted by position, 10° ≤ 2θ ≤ 90°:
Position (°2θ)  d_spacing  Rel. int.  hkl
24.52  3.630  64  0 2 2
28.76  3.104  100  1 1 3
32.48  2.757  27  2 0 2
33.15  2.702  51  1 3 1
42.64  2.120  40  1 1 5
45.18  2.007  42  3 1 1
50.27  1.815  33  0 4 4
51.87  1.763  27  1 5 1

# 3
Simulated powder X-ray diffraction pattern of Na4IBrCl2 for copper Kα, from a GGA-PBE-relaxed structure.
No peak broadening, texture or thermal motion is included.

Cell and atoms:
Cell: 8.5439 11.9962 8.5523 Å, 90.00 90.00 90.00°
Space group Fmm2 (No. 42)
Unique sites:
1 Na 0.0000 0.2410 0.0000 [8 per cell]
2 Na 0.2500 0.0000 0.2512 [8 per cell]
3 I 0.0000 0.0000 0.5011 [4 per cell]
4 Br 0.0000 0.0000 0.0011 [4 per cell]
5 Cl 0.2500 0.2500 0.2508 [8 per cell]

Largest 8 diffraction maxima, sorted by position, 10° ≤ 2θ ≤ 90°:
Position (°2θ)  d_spacing  Rel. int.  hkl
14.77  5.998  31  0 2 0
20.78  4.274  29  2 0 0
25.59  3.481  68  2 2 0
29.56  3.022  100  2 0 2
29.79  2.999  49  0 4 0
42.29  2.137  36  4 0 0
42.46  2.129  70  2 4 2
52.59  1.740  36  4 4 0

Repeat the third record exactly.
Simulated powder X-ray diffraction pattern of Na4IBrCl2 for copper Kα, from a GGA-PBE-relaxed structure.
No peak broadening, texture or thermal motion is included.

Cell and atoms:
Cell: 8.5439 11.9962 8.5523 Å, 90.00 90.00 90.00°
Space group Fmm2 (No. 42)
Unique sites:
1 Na 0.0000 0.2410 0.0000 [8 per cell]
2 Na 0.2500 0.0000 0.2512 [8 per cell]
3 I 0.0000 0.0000 0.5011 [4 per cell]
4 Br 0.0000 0.0000 0.0011 [4 per cell]
5 Cl 0.2500 0.2500 0.2508 [8 per cell]

Largest 8 diffraction maxima, sorted by position, 10° ≤ 2θ ≤ 90°:
Position (°2θ)  d_spacing  Rel. int.  hkl
14.77  5.998  31  0 2 0
20.78  4.274  29  2 0 0
25.59  3.481  68  2 2 0
29.56  3.022  100  2 0 2
29.79  2.999  49  0 4 0
42.29  2.137  36  4 0 0
42.46  2.129  70  2 4 2
52.59  1.740  36  4 4 0